1.
Starting from a structure optimized by DFT (GGA+U), the X-ray diffraction stick pattern of Ba2Tl2Zn3Co4O12 was computed for Cu Kα X-rays.
Peak positions follow from Bragg's law for the DFT cell and can differ from measured ones.

Atomic structure:
a = 21.121 Å, b = 21.121 Å, c = 21.121 Å
α = 169.63°, β = 169.63°, γ = 14.69°
Atoms (fractional coordinates):
Ba (0.153, 0.153, 0.000)
Ba (0.847, 0.847, 0.000)
Tl (0.278, 0.278, 0.000)
Tl (0.722, 0.722, 0.000)
Zn (0.000, 0.000, 0.000)
Zn (0.072, 0.072, 0.000)
Zn (0.928, 0.928, 0.000)
Co (0.402, 0.402, 0.000)
Co (0.465, 0.465, 0.000)
Co (0.535, 0.535, 0.000)
Co (0.598, 0.598, 0.000)
O (0.034, 0.534, 0.500)
O (0.103, 0.603, 0.500)
O (0.227, 0.227, 0.000)
O (0.328, 0.328, 0.000)
O (0.397, 0.897, 0.500)
O (0.466, 0.966, 0.500)
O (0.534, 0.034, 0.500)
O (0.603, 0.103, 0.500)
O (0.672, 0.672, 0.000)
O (0.773, 0.773, 0.000)
O (0.897, 0.397, 0.500)
O (0.966, 0.466, 0.500)

Largest 8 diffraction maxima, by angle, 10 to 80 degrees two-theta:
| 2θ (°) | Rel. int. |
| --- | --- |
| 27.71 | 74 |
| 30.27 | 66 |
| 33.19 | 100 |
| 34.25 | 27 |
| 39.99 | 30 |
| 47.63 | 48 |
| 55.97 | 37 |
| 57.49 | 23 |

---

2.
Starting from a structure optimized by DFT (GGA+U), the X-ray diffraction stick pattern of SrLaFeCoO6 was computed for Cu Kα X-rays.
Peak positions follow from Bragg's law for the DFT cell and can differ from measured ones.

Atomic structure:
a = 5.502 Å, b = 5.502 Å, c = 9.536 Å
α = 106.77°, β = 106.77°, γ = 60.00°
Atoms (fractional coordinates):
Sr (0.000, 0.000, 0.000)
Sr (0.502, 0.502, 0.505)
La (0.254, 0.254, 0.759)
La (0.749, 0.749, 0.245)
Fe (0.376, 0.376, 0.128)
Fe (0.876, 0.876, 0.628)
Co (0.127, 0.127, 0.380)
Co (0.626, 0.626, 0.876)
O (0.001, 0.001, 0.502)
O (0.001, 0.499, 0.501)
O (0.249, 0.249, 0.252)
O (0.249, 0.753, 0.252)
O (0.259, 0.747, 0.755)
O (0.499, 0.001, 0.501)
O (0.503, 0.503, 0.999)
O (0.504, 0.992, 0.999)
O (0.747, 0.259, 0.755)
O (0.748, 0.748, 0.755)
O (0.753, 0.249, 0.252)
O (0.992, 0.504, 0.999)

Largest 8 diffraction maxima, by angle, 10 to 80 degrees two-theta:
| 2θ (°) | Rel. int. |
| --- | --- |
| 19.76 | 6 |
| 22.85 | 5 |
| 32.54 | 100 |
| 40.14 | 15 |
| 46.69 | 35 |
| 58.06 | 38 |
| 68.16 | 20 |
| 77.58 | 16 |

---

3.
Starting from a structure optimized by DFT (GGA+U), the X-ray diffraction stick pattern of Sr4Fe3MoO12 was computed for Cu Kα X-rays.
Peak positions follow from Bragg's law for the DFT cell and can differ from measured ones.

Atomic structure:
a = 6.876 Å, b = 6.876 Å, c = 6.876 Å
α = 109.47°, β = 109.47°, γ = 109.47°
Atoms (fractional coordinates):
Sr (0.000, 0.000, 0.500)
Sr (0.000, 0.500, 0.000)
Sr (0.500, 0.000, 0.000)
Sr (0.500, 0.500, 0.500)
Fe (0.000, 0.500, 0.500)
Fe (0.500, 0.000, 0.500)
Fe (0.500, 0.500, 0.000)
Mo (0.000, 0.000, 0.000)
O (0.000, 0.243, 0.243)
O (0.000, 0.757, 0.757)
O (0.243, 0.000, 0.243)
O (0.243, 0.243, 0.000)
O (0.250, 0.500, 0.750)
O (0.250, 0.750, 0.500)
O (0.500, 0.250, 0.750)
O (0.500, 0.750, 0.250)
O (0.750, 0.250, 0.500)
O (0.750, 0.500, 0.250)
O (0.757, 0.000, 0.757)
O (0.757, 0.757, 0.000)

Largest 8 diffraction maxima, by angle, 10 to 80 degrees two-theta:
| 2θ (°) | Rel. int. |
| --- | --- |
| 15.79 | 3 |
| 27.52 | 2 |
| 31.88 | 100 |
| 39.31 | 9 |
| 45.71 | 37 |
| 56.81 | 38 |
| 66.64 | 22 |
| 75.78 | 16 |

---

4.
Starting from a structure optimized by DFT (GGA+U), the X-ray diffraction stick pattern of BaNaMnBiO6 was computed for Cu Kα X-rays.
Peak positions follow from Bragg's law for the DFT cell and can differ from measured ones.

Atomic structure:
a = 5.809 Å, b = 5.809 Å, c = 5.809 Å
α = 60.00°, β = 60.00°, γ = 60.00°
Atoms (fractional coordinates):
Ba (0.000, 0.000, 0.000)
Na (0.500, 0.500, 0.500)
Mn (0.250, 0.250, 0.250)
Bi (0.750, 0.750, 0.750)
O (0.010, 0.010, 0.490)
O (0.010, 0.490, 0.010)
O (0.010, 0.490, 0.490)
O (0.490, 0.010, 0.010)
O (0.490, 0.010, 0.490)
O (0.490, 0.490, 0.010)

Largest 8 diffraction maxima, by angle, 10 to 80 degrees two-theta:
| 2θ (°) | Rel. int. |
| --- | --- |
| 18.71 | 46 |
| 21.63 | 16 |
| 30.78 | 100 |
| 36.27 | 30 |
| 44.09 | 33 |
| 54.74 | 40 |
| 64.12 | 20 |
| 72.81 | 18 |

---

5.
Starting from a structure optimized by DFT (GGA+U), the X-ray diffraction stick pattern of Na2FeO4 was computed for Cu Kα X-rays.
Peak positions follow from Bragg's law for the DFT cell and can differ from measured ones.

Atomic structure:
a = 5.574 Å, b = 5.703 Å, c = 8.677 Å
α = 83.18°, β = 71.72°, γ = 66.84°
Atoms (fractional coordinates):
Na (0.111, 0.236, 0.144)
Na (0.277, 0.737, 0.429)
Na (0.723, 0.263, 0.571)
Na (0.889, 0.764, 0.856)
Fe (0.198, 0.191, 0.747)
Fe (0.802, 0.809, 0.253)
O (0.048, 0.688, 0.085)
O (0.108, 0.010, 0.656)
O (0.231, 0.437, 0.630)
O (0.493, 0.031, 0.785)
O (0.507, 0.969, 0.215)
O (0.769, 0.563, 0.370)
O (0.892, 0.990, 0.344)
O (0.952, 0.312, 0.915)

Largest 8 diffraction maxima, by angle, 10 to 80 degrees two-theta:
| 2θ (°) | Rel. int. |
| --- | --- |
| 18.14 | 100 |
| 19.58 | 30 |
| 20.08 | 89 |
| 21.57 | 38 |
| 24.80 | 25 |
| 25.04 | 34 |
| 27.61 | 35 |
| 32.09 | 26 |

---

6.
Starting from a structure optimized by DFT (GGA+U), the X-ray diffraction stick pattern of Li5Fe2P2C2O14 was computed for Cu Kα X-rays.
Peak positions follow from Bragg's law for the DFT cell and can differ from measured ones.

Atomic structure:
a = 6.399 Å, b = 9.473 Å, c = 10.260 Å
α = 62.60°, β = 86.13°, γ = 83.82°
Atoms (fractional coordinates):
Li (0.002, 0.262, 0.060)
Li (0.023, 0.261, 0.549)
Li (0.243, 0.604, 0.300)
Li (0.446, 0.751, 0.487)
Li (0.458, 0.756, 0.984)
Li (0.542, 0.244, 0.016)
Li (0.554, 0.249, 0.513)
Li (0.757, 0.396, 0.700)
Li (0.977, 0.739, 0.451)
Li (0.998, 0.738, 0.940)
Fe (0.254, 0.157, 0.331)
Fe (0.256, 0.163, 0.821)
Fe (0.744, 0.837, 0.179)
Fe (0.746, 0.843, 0.669)
P (0.240, 0.924, 0.181)
P (0.244, 0.913, 0.680)
P (0.756, 0.087, 0.320)
P (0.760, 0.076, 0.819)
C (0.253, 0.449, 0.142)
C (0.257, 0.453, 0.614)
C (0.743, 0.547, 0.386)
C (0.747, 0.551, 0.858)
O (0.055, 0.810, 0.720)
O (0.058, 0.814, 0.235)
O (0.184, 0.085, 0.048)
O (0.185, 0.078, 0.544)
O (0.231, 0.404, 0.283)
O (0.236, 0.425, 0.748)
O (0.242, 0.597, 0.502)
O (0.244, 0.595, 0.049)
O (0.284, 0.330, 0.107)
O (0.291, 0.933, 0.816)
O (0.293, 0.332, 0.583)
O (0.299, 0.954, 0.313)
O (0.427, 0.824, 0.149)
O (0.440, 0.832, 0.635)
O (0.560, 0.168, 0.365)
O (0.573, 0.176, 0.851)
O (0.701, 0.046, 0.687)
O (0.707, 0.668, 0.417)
O (0.709, 0.067, 0.184)
O (0.716, 0.670, 0.893)
O (0.756, 0.405, 0.951)
O (0.758, 0.403, 0.498)
O (0.764, 0.575, 0.252)
O (0.769, 0.596, 0.717)
O (0.815, 0.922, 0.456)
O (0.816, 0.915, 0.952)
O (0.942, 0.186, 0.765)
O (0.945, 0.190, 0.280)

Largest 8 diffraction maxima, by angle, 10 to 80 degrees two-theta:
| 2θ (°) | Rel. int. |
| --- | --- |
| 10.56 | 100 |
| 19.49 | 31 |
| 21.27 | 45 |
| 26.19 | 31 |
| 28.06 | 71 |
| 33.59 | 22 |
| 35.84 | 20 |
| 42.39 | 22 |

---

7.
Starting from a structure optimized by DFT (GGA+U), the X-ray diffraction stick pattern of MgW4O8 was computed for Cu Kα X-rays.
Peak positions follow from Bragg's law for the DFT cell and can differ from measured ones.

Atomic structure:
a = 3.247 Å, b = 7.747 Å, c = 7.881 Å
α = 96.01°, β = 101.59°, γ = 101.85°
Atoms (fractional coordinates):
Mg (0.000, 0.000, 0.000)
W (0.200, 0.367, 0.011)
W (0.340, 0.024, 0.643)
W (0.687, 0.661, 0.723)
W (0.859, 0.339, 0.378)
O (0.054, 0.518, 0.596)
O (0.313, 0.184, 0.456)
O (0.350, 0.856, 0.856)
O (0.383, 0.469, 0.284)
O (0.656, 0.178, 0.115)
O (0.699, 0.869, 0.550)
O (0.728, 0.507, 0.929)
O (0.993, 0.151, 0.789)

Largest 8 diffraction maxima, by angle, 10 to 80 degrees two-theta:
| 2θ (°) | Rel. int. |
| --- | --- |
| 11.60 | 76 |
| 11.81 | 71 |
| 17.81 | 100 |
| 27.81 | 55 |
| 30.80 | 68 |
| 32.72 | 52 |
| 32.86 | 96 |
| 33.84 | 49 |

---

8.
Starting from a structure optimized by DFT (GGA+U), the X-ray diffraction stick pattern of MgFeSi2O6 was computed for Cu Kα X-rays.
Peak positions follow from Bragg's law for the DFT cell and can differ from measured ones.

Atomic structure:
a = 6.741 Å, b = 4.878 Å, c = 4.878 Å
α = 32.42°, β = 90.00°, γ = 90.00°
Atoms (fractional coordinates):
Mg (0.000, 0.000, 0.000)
Fe (0.500, 0.524, 0.524)
Si (0.249, 0.264, 0.264)
Si (0.751, 0.264, 0.264)
O (0.000, 0.334, 0.334)
O (0.196, 0.637, 0.637)
O (0.299, 0.887, 0.887)
O (0.500, 0.199, 0.199)
O (0.701, 0.887, 0.887)
O (0.804, 0.637, 0.637)

Largest 8 diffraction maxima, by angle, 10 to 80 degrees two-theta:
| 2θ (°) | Rel. int. |
| --- | --- |
| 13.13 | 33 |
| 32.73 | 100 |
| 36.87 | 32 |
| 44.12 | 52 |
| 46.24 | 81 |
| 53.79 | 36 |
| 65.94 | 29 |
| 66.64 | 29 |

---

Copy entry 6 word for word.
Starting from a structure optimized by DFT (GGA+U), the X-ray diffraction stick pattern of Li5Fe2P2C2O14 was computed for Cu Kα X-rays.
Peak positions follow from Bragg's law for the DFT cell and can differ from measured ones.

Atomic structure:
a = 6.399 Å, b = 9.473 Å, c = 10.260 Å
α = 62.60°, β = 86.13°, γ = 83.82°
Atoms (fractional coordinates):
Li (0.002, 0.262, 0.060)
Li (0.023, 0.261, 0.549)
Li (0.243, 0.604, 0.300)
Li (0.446, 0.751, 0.487)
Li (0.458, 0.756, 0.984)
Li (0.542, 0.244, 0.016)
Li (0.554, 0.249, 0.513)
Li (0.757, 0.396, 0.700)
Li (0.977, 0.739, 0.451)
Li (0.998, 0.738, 0.940)
Fe (0.254, 0.157, 0.331)
Fe (0.256, 0.163, 0.821)
Fe (0.744, 0.837, 0.179)
Fe (0.746, 0.843, 0.669)
P (0.240, 0.924, 0.181)
P (0.244, 0.913, 0.680)
P (0.756, 0.087, 0.320)
P (0.760, 0.076, 0.819)
C (0.253, 0.449, 0.142)
C (0.257, 0.453, 0.614)
C (0.743, 0.547, 0.386)
C (0.747, 0.551, 0.858)
O (0.055, 0.810, 0.720)
O (0.058, 0.814, 0.235)
O (0.184, 0.085, 0.048)
O (0.185, 0.078, 0.544)
O (0.231, 0.404, 0.283)
O (0.236, 0.425, 0.748)
O (0.242, 0.597, 0.502)
O (0.244, 0.595, 0.049)
O (0.284, 0.330, 0.107)
O (0.291, 0.933, 0.816)
O (0.293, 0.332, 0.583)
O (0.299, 0.954, 0.313)
O (0.427, 0.824, 0.149)
O (0.440, 0.832, 0.635)
O (0.560, 0.168, 0.365)
O (0.573, 0.176, 0.851)
O (0.701, 0.046, 0.687)
O (0.707, 0.668, 0.417)
O (0.709, 0.067, 0.184)
O (0.716, 0.670, 0.893)
O (0.756, 0.405, 0.951)
O (0.758, 0.403, 0.498)
O (0.764, 0.575, 0.252)
O (0.769, 0.596, 0.717)
O (0.815, 0.922, 0.456)
O (0.816, 0.915, 0.952)
O (0.942, 0.186, 0.765)
O (0.945, 0.190, 0.280)

Largest 8 diffraction maxima, by angle, 10 to 80 degrees two-theta:
| 2θ (°) | Rel. int. |
| --- | --- |
| 10.56 | 100 |
| 19.49 | 31 |
| 21.27 | 45 |
| 26.19 | 31 |
| 28.06 | 71 |
| 33.59 | 22 |
| 35.84 | 20 |
| 42.39 | 22 |